(1)
The following is a simulated X-ray powder pattern of Gd2O3. It was derived from a cell relaxed with PBE, using CuKα.

```
data_Gd2O3
_chemical_formula_sum 'Gd12 O18'
_space_group_name_H-M_alt 'C 1 2/m 1'
_space_group_IT_number 12
_cell_length_a 14.448
_cell_length_b 3.581
_cell_length_c 8.826
_cell_angle_alpha 90.00
_cell_angle_beta 100.78
_cell_angle_gamma 90.00
loop_
_space_group_symop_operation_xyz
'x,y,z'
'-x,-y,-z'
'-x,y,-z'
'x,-y,z'
'x+1/2,y+1/2,z'
'-x+1/2,-y+1/2,-z'
'-x+1/2,y+1/2,-z'
'x+1/2,-y+1/2,z'
loop_
_atom_site_label
_atom_site_type_symbol
_atom_site_fract_x
_atom_site_fract_y
_atom_site_fract_z
Gd1 Gd 0.031 0.000 0.314
Gd2 Gd 0.135 0.500 0.991
Gd3 Gd 0.192 0.500 0.637
O1 O 0.000 0.500 0.500
O2 O 0.030 0.500 0.158
O3 O 0.126 0.000 0.784
O4 O 0.175 0.000 0.470
O5 O 0.206 0.000 0.124
```

The 10 most intense peaks (5° ≤ 2θ ≤ 70°), by angle:
| 2θ/deg | I (rel.) | index |
| --- | --- | --- |
| 28.12 | 85 | 1 1 1 |
| 28.92 | 91 | 4 0 1 |
| 29.40 | 98 | 4 0 -2 |
| 30.94 | 60 | 0 0 3 |
| 31.33 | 94 | 3 1 0 |
| 32.29 | 100 | 1 1 -2 |
| 41.89 | 50 | 3 1 -3 |
| 47.21 | 60 | 3 1 3 |
| 52.74 | 40 | 7 1 -2 |
| 54.75 | 38 | 7 1 1 |

=====

(2)
The following is a simulated X-ray powder pattern of GdO. It was derived from a cell relaxed with PBE, using CuKα.

```
data_GdO
_chemical_formula_sum 'Gd4 O4'
_space_group_name_H-M_alt 'F -4 3 m'
_space_group_IT_number 216
_space_group_name_Hall 'F -4 2 3'
_cell_length_a 5.392
_cell_length_b 5.392
_cell_length_c 5.392
_cell_angle_alpha 90.00
_cell_angle_beta 90.00
_cell_angle_gamma 90.00
loop_
_atom_site_label
_atom_site_type_symbol
_atom_site_fract_x
_atom_site_fract_y
_atom_site_fract_z
Gd1 Gd 0.000 0.000 0.000
O1 O 0.250 0.250 0.250
```

The 6 most intense peaks (5° ≤ 2θ ≤ 70°), by angle:
| 2θ/deg | I (rel.) | index |
| --- | --- | --- |
| 28.67 | 100 | 1 1 1 |
| 33.23 | 40 | 2 0 0 |
| 47.70 | 44 | 2 2 0 |
| 56.61 | 45 | 3 1 1 |
| 59.37 | 11 | 2 2 2 |
| 69.76 | 7 | 4 0 0 |

=====

(3)
The following is a simulated X-ray powder pattern of Gd2P4O13. It was derived from a cell relaxed with PBE, using CuKα.

```
data_Gd2P4O13
_chemical_formula_sum 'Gd8 P16 O52'
_space_group_name_H-M_alt 'C 2 2 21'
_space_group_IT_number 20
_cell_length_a 7.143
_cell_length_b 17.781
_cell_length_c 8.709
_cell_angle_alpha 90.00
_cell_angle_beta 90.00
_cell_angle_gamma 90.00
loop_
_space_group_symop_operation_xyz
'x,y,z'
'-x,-y,z+1/2'
'x,-y,-z'
'-x,y,-z+1/2'
'x+1/2,y+1/2,z'
'-x+1/2,-y+1/2,z+1/2'
'x+1/2,-y+1/2,-z'
'-x+1/2,y+1/2,-z+1/2'
loop_
_atom_site_label
_atom_site_type_symbol
_atom_site_fract_x
_atom_site_fract_y
_atom_site_fract_z
Gd1 Gd 0.247 0.147 0.146
P1 P 0.220 0.442 0.272
P2 P 0.244 0.159 0.504
O1 O 0.000 0.438 0.250
O2 O 0.080 0.160 0.390
O3 O 0.080 0.355 0.904
O4 O 0.205 0.085 0.608
O5 O 0.222 0.022 0.206
O6 O 0.229 0.114 0.895
O7 O 0.244 0.274 0.109
```

The 10 most intense peaks (5° ≤ 2θ ≤ 70°), by angle:
| 2θ/deg | I (rel.) | index |
| --- | --- | --- |
| 14.24 | 88 | 0 2 1 |
| 19.97 | 79 | 0 4 0 |
| 22.46 | 53 | 0 4 1 |
| 24.46 | 92 | 1 1 2 |
| 24.93 | 100 | 2 0 0 |
| 33.73 | 56 | 1 1 3 |
| 34.91 | 32 | 1 5 2 |
| 36.70 | 46 | 1 3 3 |
| 43.62 | 33 | 3 1 2 |
| 49.38 | 43 | 1 7 3 |

=====

(4)
The following is a simulated X-ray powder pattern of Gd2P4O13. It was derived from a cell relaxed with PBE, using CuKα.

```
data_Gd2P4O13
_chemical_formula_sum 'Gd8 P16 O52'
_space_group_name_H-M_alt 'C 1 2/c 1'
_space_group_IT_number 15
_cell_length_a 12.060
_cell_length_b 6.855
_cell_length_c 13.132
_cell_angle_alpha 90.00
_cell_angle_beta 105.87
_cell_angle_gamma 90.00
loop_
_space_group_symop_operation_xyz
'x,y,z'
'-x,-y,-z'
'-x,y,-z+1/2'
'x,-y,z+1/2'
'x+1/2,y+1/2,z'
'-x+1/2,-y+1/2,-z'
'-x+1/2,y+1/2,-z+1/2'
'x+1/2,-y+1/2,z+1/2'
loop_
_atom_site_label
_atom_site_type_symbol
_atom_site_fract_x
_atom_site_fract_y
_atom_site_fract_z
Gd1 Gd 0.190 0.002 0.051
P1 P 0.011 0.354 0.865
P2 P 0.233 0.494 0.659
O1 O 0.000 0.260 0.750
O2 O 0.003 0.183 0.937
O3 O 0.097 0.496 0.654
O4 O 0.112 0.489 0.896
O5 O 0.200 0.006 0.226
O6 O 0.245 0.180 0.406
O7 O 0.250 0.174 0.905
```

The 10 most intense peaks (5° ≤ 2θ ≤ 70°), by angle:
| 2θ/deg | I (rel.) | index |
| --- | --- | --- |
| 14.02 | 63 | 0 0 2 |
| 15.28 | 80 | 2 0 0 |
| 19.10 | 58 | 1 1 -2 |
| 23.49 | 37 | 2 0 2 |
| 26.00 | 50 | 0 2 0 |
| 26.47 | 54 | 3 1 0 |
| 30.18 | 100 | 1 1 -4 |
| 30.29 | 46 | 2 2 0 |
| 33.99 | 27 | 3 1 -4 |
| 51.19 | 25 | 3 3 -4 |

=====

Repeat the fourth record exactly.
The following is a simulated X-ray powder pattern of Gd2P4O13. It was derived from a cell relaxed with PBE, using CuKα.

```
data_Gd2P4O13
_chemical_formula_sum 'Gd8 P16 O52'
_space_group_name_H-M_alt 'C 1 2/c 1'
_space_group_IT_number 15
_cell_length_a 12.060
_cell_length_b 6.855
_cell_length_c 13.132
_cell_angle_alpha 90.00
_cell_angle_beta 105.87
_cell_angle_gamma 90.00
loop_
_space_group_symop_operation_xyz
'x,y,z'
'-x,-y,-z'
'-x,y,-z+1/2'
'x,-y,z+1/2'
'x+1/2,y+1/2,z'
'-x+1/2,-y+1/2,-z'
'-x+1/2,y+1/2,-z+1/2'
'x+1/2,-y+1/2,z+1/2'
loop_
_atom_site_label
_atom_site_type_symbol
_atom_site_fract_x
_atom_site_fract_y
_atom_site_fract_z
Gd1 Gd 0.190 0.002 0.051
P1 P 0.011 0.354 0.865
P2 P 0.233 0.494 0.659
O1 O 0.000 0.260 0.750
O2 O 0.003 0.183 0.937
O3 O 0.097 0.496 0.654
O4 O 0.112 0.489 0.896
O5 O 0.200 0.006 0.226
O6 O 0.245 0.180 0.406
O7 O 0.250 0.174 0.905
```

The 10 most intense peaks (5° ≤ 2θ ≤ 70°), by angle:
| 2θ/deg | I (rel.) | index |
| --- | --- | --- |
| 14.02 | 63 | 0 0 2 |
| 15.28 | 80 | 2 0 0 |
| 19.10 | 58 | 1 1 -2 |
| 23.49 | 37 | 2 0 2 |
| 26.00 | 50 | 0 2 0 |
| 26.47 | 54 | 3 1 0 |
| 30.18 | 100 | 1 1 -4 |
| 30.29 | 46 | 2 2 0 |
| 33.99 | 27 | 3 1 -4 |
| 51.19 | 25 | 3 3 -4 |

=====

What is the formula in the fourth record?
Gd2P4O13